(1)
For CeDy5As6, the GGA-PBE geometry in Alexandria gives the calculated powder X-ray diffraction pattern in this record (Cu Ka).

Structure:
```
CeDy5As6
1.0
3.5794 -6.1984 0.0000
3.5794 6.1984 0.0000
-2.3877 0.0000 6.7523
Ce Dy As
1 5 6
Cartesian
0.0000 0.0000 0.0000
2.3856 4.1374 3.3762
3.5794 2.0670 0.0000
2.3856 0.0000 3.3762
3.5794 -2.0670 0.0000
2.3856 -4.1374 3.3762
1.1960 2.0720 1.6970
0.0057 0.0000 5.0647
1.1960 -2.0720 1.6970
3.5752 2.0720 5.0553
4.7655 0.0000 1.6876
3.5752 -2.0720 5.0553
```

Principal peaks in the range 2θ = 10–90°, in order of falling intensity:
| Position (°2θ) | intensity |
| --- | --- |
| 30.6 | 100 |
| 43.8 | 75 |
| 72.3 | 34 |
| 54.4 | 26 |
| 80.5 | 25 |
| 26.4 | 22 |


(2)
For Tl2In12Sb, the GGA-PBE geometry in Alexandria gives the calculated powder X-ray diffraction pattern in this record (Cu Ka).

Structure:
```
Tl2In12Sb
1.0
6.7392 0.0000 0.0000
0.0000 6.7392 0.0000
0.0000 0.0000 19.8575
Tl In Sb
4 24 2
Cartesian
1.6848 5.0544 4.5494
1.6848 5.0544 15.3081
5.0544 1.6848 4.5494
5.0544 1.6848 15.3081
6.7375 0.0017 7.8054
0.0017 6.7375 12.0521
0.0017 3.3713 7.8054
6.7375 3.3679 12.0521
0.5637 3.9333 1.3083
0.5637 6.1754 18.5492
1.6848 1.6848 3.0181
1.6848 1.6848 5.8878
1.6848 1.6848 13.9697
1.6848 1.6848 16.8394
2.8058 3.9333 18.5492
2.8058 6.1754 1.3083
3.3679 6.7375 7.8054
3.3713 0.0017 12.0521
3.3713 3.3679 7.8054
3.3679 3.3713 12.0521
3.9333 0.5637 18.5492
3.9333 2.8058 1.3083
5.0544 5.0544 3.0181
5.0544 5.0544 5.8878
5.0544 5.0544 13.9697
5.0544 5.0544 16.8394
6.1754 0.5637 1.3083
6.1754 2.8058 18.5492
1.6848 5.0544 9.9288
5.0544 1.6848 9.9288
```

Principal peaks in the range 2θ = 10–90°, in order of falling intensity:
| Position (°2θ) | intensity |
| --- | --- |
| 28.0 | 100 |
| 37.8 | 87 |
| 32.1 | 73 |
| 36.9 | 72 |
| 25.9 | 56 |
| 29.8 | 47 |


(3)
For Zr2CdSb, the GGA-PBE geometry in Alexandria gives the calculated powder X-ray diffraction pattern in this record (Cu Ka).

Structure:
```
Zr2CdSb
1.0
4.2151 0.0000 0.0000
0.0000 4.7557 0.0000
0.0000 0.0000 9.6611
Zr Cd Sb
4 2 2
Cartesian
0.0000 0.0000 0.0000
0.0000 2.3779 2.2685
2.1076 0.0000 2.2685
2.1076 2.3779 0.0000
0.0000 0.0000 4.5633
2.1076 2.3779 4.5633
0.0000 2.3779 7.3884
2.1076 0.0000 7.3884
```

Principal peaks in the range 2θ = 10–90°, in order of falling intensity:
| Position (°2θ) | intensity |
| --- | --- |
| 33.9 | 100 |
| 37.8 | 19 |
| 37.2 | 17 |
| 65.8 | 14 |
| 42.9 | 13 |
| 54.1 | 11 |


(4)
For Nd2Tm5Cd, the GGA-PBE geometry in Alexandria gives the calculated powder X-ray diffraction pattern in this record (Cu Ka).

Structure:
```
Nd2Tm5Cd
1.0
6.6079 0.0000 0.0000
-2.8802 5.9473 0.0000
-1.8360 -2.9825 6.1343
Nd Tm Cd
2 5 1
Cartesian
0.0000 0.0000 0.0000
-2.2196 1.4110 4.2188
-1.4244 2.9827 1.1276
0.9798 1.5660 3.1356
2.2642 -1.4003 4.2167
3.3036 0.0051 1.1274
2.7641 4.4138 3.1386
1.9017 2.9605 0.1905
```

Principal peaks in the range 2θ = 10–90°, in order of falling intensity:
| Position (°2θ) | intensity |
| --- | --- |
| 33.4 | 100 |
| 33.5 | 64 |
| 32.0 | 49 |
| 33.2 | 35 |
| 29.3 | 34 |
| 51.7 | 25 |


(5)
For Sr3Nd4O9, the GGA-PBE geometry in Alexandria gives the calculated powder X-ray diffraction pattern in this record (Cu Ka).

Structure:
```
Sr3Nd4O9
1.0
5.8406 -3.6372 0.0000
5.8406 3.6372 0.0000
-5.6985 0.0000 11.9455
Sr Nd O
6 8 18
Cartesian
3.5293 2.5540 2.6609
2.9914 3.1745 5.9727
-0.0537 1.0443 10.0266
2.7956 -1.0443 4.0539
0.6801 -2.5540 8.6337
5.8406 -3.1745 0.0000
0.6226 0.5571 6.6280
3.2230 2.1184 9.2753
3.4718 -0.5571 0.6553
6.5850 0.9621 1.6060
5.6613 0.9285 5.1220
3.7358 -0.9621 7.5788
2.8121 -0.9285 11.0947
6.0722 -2.1184 3.3026
-3.5420 0.5067 10.5421
1.3660 2.4939 7.7888
-1.4117 0.4714 7.9727
4.5540 1.7021 0.3855
-0.6928 -0.5067 4.5693
2.0344 1.1486 4.8175
1.4376 -0.4714 2.0000
2.1029 1.3494 11.4290
4.7127 0.2270 2.8919
4.4203 1.2388 7.2008
-0.8148 -1.1486 10.7902
1.8635 -0.2270 8.8646
1.7048 -1.7021 6.3582
7.4887 0.3308 3.7755
4.2152 -2.4939 1.8161
4.9521 -1.3494 5.4562
4.6395 -0.3308 9.7483
7.2695 -1.2388 1.2281
```

Principal peaks in the range 2θ = 10–90°, in order of falling intensity:
| Position (°2θ) | intensity |
| --- | --- |
| 28.9 | 100 |
| 29.8 | 65 |
| 30.0 | 51 |
| 37.3 | 41 |
| 36.9 | 40 |
| 39.6 | 34 |


(6)
For RbNa6Tl4, the GGA-PBE geometry in Alexandria gives the calculated powder X-ray diffraction pattern in this record (Cu Ka).

Structure:
```
RbNa6Tl4
1.0
-4.0934 4.0934 6.1122
4.0934 -4.0934 6.1122
4.0934 4.0934 -6.1122
Rb Na Tl
1 6 4
Cartesian
0.0000 0.0000 0.0000
4.0934 0.0000 0.0000
1.6114 -1.6114 3.6026
-1.6114 1.6114 3.6026
0.0000 4.0934 0.0000
2.4820 2.4820 2.5096
1.6114 1.6114 8.6218
2.8257 2.8257 -0.9632
1.2678 -1.2678 7.0754
1.2678 1.2678 5.1490
-1.2678 1.2678 7.0754
```

Principal peaks in the range 2θ = 10–90°, in order of falling intensity:
| Position (°2θ) | intensity |
| --- | --- |
| 13.0 | 100 |
| 32.9 | 97 |
| 33.6 | 67 |
| 21.1 | 66 |
| 25.4 | 49 |
| 14.5 | 48 |


(7)
For Na2Ga2GeS6, the GGA-PBE geometry in Alexandria gives the calculated powder X-ray diffraction pattern in this record (Cu Ka).

Structure:
```
Na2Ga2GeS6
1.0
0.0000 11.4587 3.7135
6.3270 0.0000 3.7135
6.3270 11.4587 0.0000
Na Ga Ge S
4 4 2 12
Cartesian
7.3882 4.7016 3.7135
8.4293 10.4309 5.5702
5.2658 18.2158 3.7135
4.2247 12.4865 5.5702
8.1242 8.4210 2.1382
4.9607 8.7670 3.9949
7.6934 14.1504 3.9949
4.5299 14.4964 2.1382
6.3270 11.4587 1.8985
9.4905 17.1880 3.7553
12.0151 13.1680 4.3271
2.5246 4.0201 2.4704
8.0911 12.0062 3.1761
3.8025 7.4386 2.4704
7.1673 8.2796 4.2194
11.2547 16.6405 5.0329
4.5629 10.9112 3.1761
8.6502 14.0090 6.0761
5.4867 14.6377 4.2194
7.7264 17.7355 5.0329
10.3309 20.3671 6.0761
6.9660 21.2081 4.3271
```

Principal peaks in the range 2θ = 10–90°, in order of falling intensity:
| Position (°2θ) | intensity |
| --- | --- |
| 14.4 | 100 |
| 30.7 | 44 |
| 27.0 | 42 |
| 23.9 | 27 |
| 32.0 | 24 |
| 24.6 | 21 |


(8)
For Na2CeGaF8, the GGA-PBE geometry in Alexandria gives the calculated powder X-ray diffraction pattern in this record (Cu Ka).

Structure:
```
Na2CeGaF8
1.0
5.0350 0.0000 0.0000
0.0000 6.9436 0.0000
-0.0655 0.0000 5.1815
Na Ce Ga F
2 1 1 8
Cartesian
0.0000 1.5829 0.0000
0.0000 5.3607 0.0000
2.4847 3.4718 2.5908
2.4847 0.0000 2.5908
0.8973 3.4718 1.0349
1.1599 0.0000 1.2750
1.5744 1.4822 3.5397
1.5744 5.4614 3.5397
3.3951 1.4822 1.6418
3.3951 5.4614 1.6418
3.8096 0.0000 3.9065
4.0721 3.4718 4.1466
```

Principal peaks in the range 2θ = 10–90°, in order of falling intensity:
| Position (°2θ) | intensity |
| --- | --- |
| 24.5 | 100 |
| 17.1 | 92 |
| 24.8 | 85 |
| 17.6 | 81 |
| 35.8 | 74 |
| 31.0 | 61 |


(9)
For Mg2Sn, the GGA-PBE geometry in Alexandria gives the calculated powder X-ray diffraction pattern in this record (Cu Ka).

Structure:
```
Mg2Sn
1.0
5.7385 0.0000 0.0000
-2.8692 4.9697 0.0000
0.0000 0.0000 4.9891
Mg Sn
4 2
Cartesian
0.0000 0.0000 0.0000
-1.9144 3.3158 2.4946
0.9549 1.6539 2.4946
3.8287 0.0000 2.4946
0.0000 3.3131 0.0000
2.8692 1.6566 0.0000
```

Principal peaks in the range 2θ = 10–90°, in order of falling intensity:
| Position (°2θ) | intensity |
| --- | --- |
| 36.1 | 100 |
| 17.8 | 57 |
| 31.2 | 41 |
| 68.0 | 35 |
| 48.3 | 25 |
| 25.3 | 22 |


(10)
For PuAs4Pd12, the GGA-PBE geometry in Alexandria gives the calculated powder X-ray diffraction pattern in this record (Cu Ka).

Structure:
```
PuAs4Pd12
1.0
-4.2895 4.2895 4.2895
4.2895 -4.2895 4.2895
4.2895 4.2895 -4.2895
Pu As Pd
1 4 12
Cartesian
0.0000 0.0000 0.0000
2.1448 2.1448 -2.1448
2.1448 -2.1448 2.1448
-2.1448 2.1448 2.1448
2.1448 2.1448 2.1448
2.9370 0.0000 1.3985
5.6421 0.0000 1.3985
4.2895 2.8910 -1.3526
1.3985 2.9370 0.0000
2.8910 -1.3526 4.2895
4.2895 2.8910 1.3526
0.0000 1.3985 2.9370
1.3985 5.6421 0.0000
2.8910 1.3526 4.2895
0.0000 1.3985 5.6421
-1.3526 4.2895 2.8910
1.3526 4.2895 2.8910
```

Principal peaks in the range 2θ = 10–90°, in order of falling intensity:
| Position (°2θ) | intensity |
| --- | --- |
| 33.0 | 100 |
| 39.3 | 55 |
| 52.2 | 31 |
| 54.5 | 30 |
| 75.1 | 17 |
| 63.2 | 11 |


(11)
For Pm4Nd2As3N2, the GGA-PBE geometry in Alexandria gives the calculated powder X-ray diffraction pattern in this record (Cu Ka).

Structure:
```
Pm4Nd2As3N2
1.0
-2.3397 2.3397 12.3072
2.3397 -2.3397 12.3072
2.3397 2.3397 -12.3072
Pm Nd As N
4 2 3 2
Cartesian
2.3397 0.0000 1.9663
2.3397 0.0000 10.3409
0.0000 2.3397 1.9663
0.0000 2.3397 10.3409
0.0000 0.0000 4.8439
0.0000 0.0000 19.7704
0.0000 0.0000 7.9730
0.0000 0.0000 12.3072
0.0000 0.0000 16.6413
0.0000 0.0000 2.5245
0.0000 0.0000 22.0898
```

Principal peaks in the range 2θ = 10–90°, in order of falling intensity:
| Position (°2θ) | intensity |
| --- | --- |
| 34.8 | 100 |
| 27.9 | 66 |
| 38.5 | 60 |
| 67.3 | 30 |
| 29.0 | 22 |
| 48.9 | 21 |